Theoretical X-ray powder pattern of Nb6Mo3W2 for Cu Kα (weighted mean of Kα1 and Kα2), from a structure optimized by DFT (GGA-PBE).

Most intense lines, 2θ = 10–90°, in order of rising 2θ:
two_theta  I/Imax
35.13  11
37.07  100
38.32  46
39.19  12
39.75  23
40.94  51
56.40  27
68.46  16
70.26  11
83.49  19

Structure:
```
11
Lattice="-1.3178 2.3492 15.5730 1.3178 -2.3492 15.5730 1.3178 2.3492 -15.5730" Properties=species:S:1:pos:R:3 pbc="T T T"
Nb 0.0000 0.0000 2.8370
Nb 1.3178 0.0000 8.5785
Nb 0.0000 0.0000 11.4165
Nb 0.0000 0.0000 19.7294
Nb 0.0000 2.3492 6.9945
Nb 0.0000 0.0000 28.3089
Mo 1.3178 0.0000 0.0000
Mo 1.3178 0.0000 5.6898
Mo 0.0000 2.3492 9.8832
W 1.3178 0.0000 14.2327
W 0.0000 2.3492 1.3402
```